Starting from a structure optimized by DFT (PBE), the XRD peak list of Sr3Cu4Ag2 was simulated for Cu Kα, 1.54184 Å.

The 10 most intense peaks (2θ = 5–70°), in order of rising 2θ:
(2 0 1), 21.14°, I 14.1
(0 0 3), 31.32°, I 47.3
(3 1 0), 31.44°, I 100.0
(3 1 -3), 40.23°, I 53.1
(0 2 0), 40.52°, I 26.7
(4 0 2), 43.04°, I 22.2
(6 0 -3), 51.77°, I 11.9
(0 2 3), 52.09°, I 22.1
(1 1 5), 60.37°, I 30.4
(4 2 2), 60.59°, I 15.4

Structural model:
Lattice parameters (Å, degrees): 11.4484 4.4531 8.8521 90.00 104.40 90.00
Space group C2/m (No. 12)
Inequivalent atoms, fractional coordinates:
1 Sr 0.0000 0.0000 0.0000 (multiplicity 2)
2 Sr 0.1632 0.5000 0.6698 (multiplicity 4)
3 Cu 0.0542 0.0000 0.3977 (multiplicity 4)
4 Cu 0.2271 0.5000 0.0470 (multiplicity 4)
5 Ag 0.1159 0.5000 0.2771 (multiplicity 4)

***

Starting from a structure optimized by DFT (PBE), the XRD peak list of SmErTm2S6 was simulated for Cu Kα, 1.54184 Å.

The 10 most intense peaks (2θ = 5–70°), in order of rising 2θ:
(0 1 2), 17.72°, I 41.1
(1 0 4), 24.42°, I 96.8
(1 1 0), 25.87°, I 100.0
(0 2 4), 35.87°, I 46.4
(2 -1 6), 39.32°, I 81.1
(3 -1 4), 44.76°, I 46.0
(3 0 0), 45.63°, I 47.5
(1 0 10), 51.96°, I 24.8
(2 2 6), 61.77°, I 20.6
(2 1 10), 65.43°, I 19.7

Structural model:
Lattice parameters (Å, degrees): 6.8873 6.8873 18.4192 90.00 90.00 120.00
Space group R3 (No. 146, hexagonal axes)
Inequivalent atoms, fractional coordinates:
1 Sm 0.0000 0.0000 0.0000 (multiplicity 3)
2 Er 0.0000 0.0000 0.4956 (multiplicity 3)
3 Tm 0.0000 0.0000 0.2952 (multiplicity 3)
4 Tm 0.0000 0.0000 0.7978 (multiplicity 3)
5 S 0.0053 0.3072 0.8939 (multiplicity 9)
6 S 0.0180 0.7126 0.3947 (multiplicity 9)

***

Starting from a structure optimized by DFT (PBE), the XRD peak list of CsPdN2 was simulated for Cu Kα, 1.54184 Å.

The 10 most intense peaks (2θ = 5–70°), in order of rising 2θ:
(0 0 1), 6.75°, I 100.0
(0 1 2), 23.32°, I 17.3
(1 0 1), 25.21°, I 10.4
(0 0 4), 27.23°, I 10.3
(0 1 4), 31.88°, I 17.7
(-1 1 1), 32.89°, I 20.4
(1 1 -1), 33.48°, I 13.9
(0 0 5), 34.22°, I 12.5
(1 1 3), 36.26°, I 15.7
(1 -1 4), 45.47°, I 10.1

Structural model:
Lattice parameters (Å, degrees): 3.6699 4.2416 13.2717 80.81 89.75 88.47
Space group P-1 (No. 2)
Inequivalent atoms, fractional coordinates:
1 Cs 0.2500 0.1415 0.2161 (multiplicity 2)
2 Pd 0.0000 0.0000 0.0000 (multiplicity 1)
3 Pd 0.5000 0.5000 0.0000 (multiplicity 1)
4 N 0.2494 0.5823 0.6035 (multiplicity 2)
5 N 0.2508 0.3150 0.6035 (multiplicity 2)

***

Starting from a structure optimized by DFT (PBE), the XRD peak list of CuAg was simulated for Cu Kα, 1.54184 Å.

The 10 most intense peaks (2θ = 5–70°), in order of rising 2θ:
(2 0 0), 22.67°, I 10.9
(1 1 1), 26.26°, I 11.5
(2 2 0), 32.28°, I 9.0
(1 2 1), 32.98°, I 14.2
(3 0 1), 40.40°, I 35.5
(2 3 0), 41.51°, I 23.3
(0 0 2), 42.09°, I 100.0
(3 2 1), 46.82°, I 6.9
(2 4 0), 52.15°, I 6.6
(2 3 2), 60.62°, I 14.3

Structural model:
Lattice parameters (Å, degrees): 7.8439 7.8439 4.2911 90.00 90.00 90.00
Space group P4/m (No. 83)
Inequivalent atoms, fractional coordinates:
1 Cu 0.0454 0.2255 0.0000 (multiplicity 4)
2 Cu 0.1062 0.7964 0.5000 (multiplicity 4)
3 Ag 0.1634 0.4327 0.5000 (multiplicity 4)
4 Ag 0.2761 0.6288 0.0000 (multiplicity 4)

***

Starting from a structure optimized by DFT (PBE), the XRD peak list of DyZn2Rh3 was simulated for Cu Kα, 1.54184 Å.

The 10 most intense peaks (2θ = 5–70°), in order of rising 2θ:
(0 0 1), 8.02°, I 1.8
(1 0 0), 23.07°, I 2.2
(1 0 1), 24.46°, I 9.8
(1 0 3), 33.70°, I 6.7
(1 0 4), 40.23°, I 99.4
(1 1 0), 40.53°, I 100.0
(0 1 5), 47.52°, I 2.5
(1 1 3), 47.78°, I 1.8
(0 2 4), 58.43°, I 32.6
(0 1 7), 63.87°, I 3.1

Structural model:
Lattice parameters (Å, degrees): 4.4516 4.4516 11.0203 90.00 90.00 120.00
Space group P-3m1 (No. 164)
Inequivalent atoms, fractional coordinates:
1 Dy 0.3333 0.6667 0.1734 (multiplicity 2)
2 Zn 0.0000 0.0000 0.0000 (multiplicity 1)
3 Zn 0.0000 0.0000 0.5000 (multiplicity 1)
4 Zn 0.3333 0.6667 0.6608 (multiplicity 2)
5 Rh 0.0000 0.0000 0.2660 (multiplicity 2)
6 Rh 0.3333 0.6667 0.4262 (multiplicity 2)
7 Rh 0.3333 0.6667 0.9173 (multiplicity 2)

***

Starting from a structure optimized by DFT (PBE), the XRD peak list of NaGdSiO4 was simulated for Cu Kα, 1.54184 Å.

The 10 most intense peaks (2θ = 5–70°), in order of rising 2θ:
(2 0 0), 14.99°, I 73.8
(1 0 1), 18.11°, I 100.0
(2 1 1), 23.59°, I 59.3
(3 1 0), 23.81°, I 79.7
(3 0 1), 28.07°, I 76.2
(2 3 1), 31.97°, I 98.0
(0 0 2), 33.28°, I 53.3
(4 1 1), 35.48°, I 52.7
(2 4 2), 48.26°, I 48.3
(6 1 1), 49.91°, I 58.4

Structural model:
Lattice parameters (Å, degrees): 11.8167 11.8167 5.3844 90.00 90.00 90.00
Space group I4/m (No. 87)
Inequivalent atoms, fractional coordinates:
1 Na 0.0866 0.6070 0.0000 (multiplicity 8)
2 Gd 0.1210 0.1910 0.0000 (multiplicity 8)
3 Si 0.0984 0.7621 0.5000 (multiplicity 8)
4 O 0.0402 0.8074 0.2431 (multiplicity 16)
5 O 0.1036 0.6212 0.5000 (multiplicity 8)
6 O 0.1950 0.2322 0.5000 (multiplicity 8)

***

Starting from a structure optimized by DFT (PBE), the XRD peak list of BaTl4Cl6 was simulated for Cu Kα, 1.54184 Å.

The 10 most intense peaks (2θ = 5–70°), in order of rising 2θ:
(0 0 2), 18.83°, I 49.6
(2 0 -2), 22.48°, I 67.0
(2 0 1), 23.16°, I 44.6
(0 2 1), 23.72°, I 100.0
(0 0 3), 28.40°, I 83.4
(2 2 -1), 28.58°, I 93.5
(2 2 0), 28.77°, I 77.1
(2 2 -3), 36.78°, I 76.6
(2 2 2), 37.51°, I 79.5
(0 4 0), 44.34°, I 56.0

Structural model:
Lattice parameters (Å, degrees): 9.9377 8.1763 9.8250 90.00 106.37 90.00
Space group Cm (No. 8)
Inequivalent atoms, fractional coordinates:
1 Ba 0.0000 0.0000 0.0000 (multiplicity 2)
2 Tl 0.1687 0.2281 0.6400 (multiplicity 4)
3 Tl 0.2628 0.5000 0.2479 (multiplicity 2)
4 Tl 0.3567 0.0000 0.2786 (multiplicity 2)
5 Cl 0.0693 0.2220 0.2833 (multiplicity 4)
6 Cl 0.2358 0.2570 0.9722 (multiplicity 4)
7 Cl 0.3994 0.5000 0.6721 (multiplicity 2)
8 Cl 0.4522 0.0000 0.5946 (multiplicity 2)

***

Starting from a structure optimized by DFT (PBE), the XRD peak list of Hf2AgHgAs was simulated for Cu Kα, 1.54184 Å.

The 10 most intense peaks (2θ = 5–70°), in order of rising 2θ:
(1 0 0), 16.86°, I 26.7
(0 0 1), 17.47°, I 58.9
(1 0 1), 24.37°, I 46.9
(1 1 1), 29.78°, I 60.6
(2 0 0), 34.09°, I 100.0
(0 0 2), 35.35°, I 45.3
(2 0 1), 38.55°, I 34.3
(2 2 0), 48.98°, I 36.1
(2 0 2), 49.93°, I 68.2
(2 2 2), 61.84°, I 35.8

Structural model:
Lattice parameters (Å, degrees): 5.2599 5.2599 5.0776 90.00 90.00 90.00
Space group P4/mmm (No. 123)
Inequivalent atoms, fractional coordinates:
1 Hf 0.0000 0.5000 0.0000 (multiplicity 2)
2 Ag 0.0000 0.0000 0.5000 (multiplicity 1)
3 Hg 0.5000 0.5000 0.0000 (multiplicity 1)
4 As 0.5000 0.5000 0.5000 (multiplicity 1)

***

Starting from a structure optimized by DFT (PBE), the XRD peak list of Dy3Al5Pd was simulated for Cu Kα, 1.54184 Å.

The 10 most intense peaks (2θ = 5–70°), in order of rising 2θ:
(0 0 1), 20.23°, I 63.1
(1 1 0), 25.45°, I 36.5
(2 0 0), 29.47°, I 51.2
(1 1 1), 32.72°, I 79.5
(2 0 1), 36.01°, I 100.0
(2 1 0), 39.32°, I 26.6
(0 0 2), 41.13°, I 26.6
(2 0 2), 51.40°, I 22.0
(3 1 0), 54.58°, I 19.9
(3 1 1), 58.81°, I 34.7

Structural model:
Lattice parameters (Å, degrees): 7.0008 7.0008 4.3888 90.00 90.00 120.00
Space group P-62m (No. 189)
Inequivalent atoms, fractional coordinates:
1 Dy 0.0000 0.4150 0.0000 (multiplicity 3)
2 Al 0.0000 0.7657 0.5000 (multiplicity 3)
3 Al 0.3333 0.6667 0.5000 (multiplicity 2)
4 Pd 0.0000 0.0000 0.0000 (multiplicity 1)

***

Starting from a structure optimized by DFT (PBE), the XRD peak list of Er3Ga5Pd6 was simulated for Cu Kα, 1.54184 Å.

The 10 most intense peaks (2θ = 5–70°), in order of rising 2θ:
(0 4 2), 34.10°, I 16.3
(1 3 2), 35.51°, I 100.0
(1 4 1), 35.95°, I 21.6
(0 3 3), 36.61°, I 66.7
(1 2 3), 39.23°, I 33.3
(1 5 0), 40.42°, I 26.1
(2 0 0), 41.65°, I 80.9
(1 1 4), 46.29°, I 18.7
(2 3 3), 56.63°, I 23.4
(1 7 4), 69.27°, I 16.8

Structural model:
Lattice parameters (Å, degrees): 4.3386 13.0097 8.9312 90.00 90.00 90.00
Space group Pmmn (No. 59, origin choice 2)
Inequivalent atoms, fractional coordinates:
1 Er 0.2500 0.0526 0.2455 (multiplicity 4)
2 Er 0.2500 0.7500 0.2354 (multiplicity 2)
3 Ga 0.2500 0.0936 0.8734 (multiplicity 4)
4 Ga 0.2500 0.6327 0.5305 (multiplicity 4)
5 Ga 0.2500 0.7500 0.7864 (multiplicity 2)
6 Pd 0.2500 0.0618 0.5933 (multiplicity 4)
7 Pd 0.2500 0.2500 0.0498 (multiplicity 2)
8 Pd 0.2500 0.2500 0.4157 (multiplicity 2)
9 Pd 0.2500 0.5978 0.9781 (multiplicity 4)

***

Starting from a structure optimized by DFT (PBE), the XRD peak list of TmMg3Pd12 was simulated for Cu Kα, 1.54184 Å.

The 10 most intense peaks (2θ = 5–70°), in order of rising 2θ:
(0 0 1), 5.55°, I 11.2
(0 0 2), 11.12°, I 3.0
(1 0 0), 22.14°, I 3.4
(1 0 1), 22.84°, I 3.6
(1 0 2), 24.84°, I 2.7
(1 1 4), 38.98°, I 100.0
(2 0 0), 45.16°, I 33.1
(0 0 8), 45.61°, I 15.7
(2 2 0), 65.78°, I 10.5
(2 0 8), 66.13°, I 19.9

Structural model:
Lattice parameters (Å, degrees): 4.0153 4.0153 15.9102 90.00 90.00 90.00
Space group P4/mmm (No. 123)
Inequivalent atoms, fractional coordinates:
1 Tm 0.0000 0.0000 0.0000 (multiplicity 1)
2 Mg 0.0000 0.0000 0.2550 (multiplicity 2)
3 Mg 0.0000 0.0000 0.5000 (multiplicity 1)
4 Pd 0.0000 0.5000 0.1315 (multiplicity 4)
5 Pd 0.0000 0.5000 0.3777 (multiplicity 4)
6 Pd 0.5000 0.5000 0.0000 (multiplicity 1)
7 Pd 0.5000 0.5000 0.2548 (multiplicity 2)
8 Pd 0.5000 0.5000 0.5000 (multiplicity 1)

***

Starting from a structure optimized by DFT (PBE), the XRD peak list of LaGa2SiRh was simulated for Cu Kα, 1.54184 Å.

The 10 most intense peaks (2θ = 5–70°), in order of rising 2θ:
(0 1 1), 22.82°, I 15.0
(1 0 3), 32.84°, I 44.3
(1 1 2), 34.63°, I 100.0
(0 2 0), 43.26°, I 21.3
(2 0 0), 43.46°, I 21.1
(0 1 5), 47.33°, I 19.8
(1 2 3), 55.37°, I 12.5
(0 2 4), 55.52°, I 12.4
(1 1 6), 60.15°, I 13.6
(2 2 0), 62.99°, I 13.7

Structural model:
Lattice parameters (Å, degrees): 4.1647 4.1825 10.8150 90.00 90.00 90.00
Space group Imm2 (No. 44)
Inequivalent atoms, fractional coordinates:
1 La 0.0000 0.0000 0.0000 (multiplicity 2)
2 Ga 0.0000 0.0000 0.3818 (multiplicity 2)
3 Ga 0.0000 0.5000 0.2475 (multiplicity 2)
4 Si 0.0000 0.0000 0.6161 (multiplicity 2)
5 Rh 0.0000 0.5000 0.7360 (multiplicity 2)